Diffraction record for CaZn3Cd3. The XRD peak list is simulated, not measured: it uses a crystal structure in Alexandria, relaxed with PBE and Cu Kα (λ = 1.5418 Å).
Lines closer than 0.1° are merged.

abc: 6.8671 4.5333 9.8655
angles: 90.00 108.76 90.00
Fractional coordinates of all 14 atoms:
Ca 0.1224 0.2500 0.2822
Ca 0.8776 0.7500 0.7178
Zn 0.1521 0.2500 0.6613
Zn 0.2028 0.7500 0.5354
Zn 0.2904 0.7500 0.1030
Zn 0.7096 0.2500 0.8970
Zn 0.7972 0.2500 0.4646
Zn 0.8479 0.7500 0.3387
Cd 0.1591 0.2500 0.9421
Cd 0.4128 0.7500 0.8332
Cd 0.4875 0.7500 0.3943
Cd 0.5125 0.2500 0.6057
Cd 0.5872 0.2500 0.1668
Cd 0.8409 0.7500 0.0579

Largest 10 diffraction maxima, by intensity, 10 to 90 degrees two-theta:
2theta	d_spacing	I/Imax
33.95	2.641	1000
39.78	2.266	959
34.35	2.610	640
34.96	2.567	452
33.45	2.679	391
43.58	2.077	372
41.09	2.197	361
27.78	3.211	327
18.98	4.676	237
32.77	2.733	234

---

Diffraction record for Ca2ZrCd. The XRD peak list is simulated, not measured: it uses a crystal structure in Alexandria, relaxed with PBE and Cu Kα (λ = 1.5418 Å).
Lines closer than 0.1° are merged.

abc: 3.5333 3.5333 9.5777
angles: 90.00 90.00 90.00
Fractional coordinates of all 4 atoms:
Ca 0.0000 0.0000 0.0000
Ca 0.5000 0.5000 0.3319
Zr 0.5000 0.5000 0.7425
Cd 0.0000 0.0000 0.5576

Largest 10 diffraction maxima, by intensity, 10 to 90 degrees two-theta:
2theta	d_spacing	I/Imax
31.46	2.843	1000
35.94	2.498	424
37.99	2.369	353
61.83	1.501	262
37.19	2.418	159
51.74	1.767	142
65.96	1.416	131
60.95	1.520	114
52.97	1.729	106
37.56	2.394	75

---

Diffraction record for Ca3Ce. The XRD peak list is simulated, not measured: it uses a crystal structure in Alexandria, relaxed with PBE and Cu Kα (λ = 1.5418 Å).
Lines closer than 0.1° are merged.

abc: 7.3796 7.3796 7.3796
angles: 150.87 62.64 125.88
Fractional coordinates of all 4 atoms:
Ca 0.0000 0.0000 0.0000
Ca 0.4331 0.6814 0.7517
Ca 0.9298 0.6814 0.2483
Ce 0.5012 0.0012 0.5000

Largest 10 diffraction maxima, by intensity, 10 to 90 degrees two-theta:
2theta	d_spacing	I/Imax
30.97	2.888	1000
30.16	2.963	606
14.95	5.926	481
28.31	3.152	424
27.46	3.249	349
25.00	3.562	289
14.05	6.304	273
39.85	2.262	253
56.16	1.638	225
51.82	1.764	222

---

Diffraction record for CaCe3. The XRD peak list is simulated, not measured: it uses a crystal structure in Alexandria, relaxed with PBE and Cu Kα (λ = 1.5418 Å).
Lines closer than 0.1° are merged.

abc: 3.3475 5.6220 6.3899
angles: 90.00 90.00 90.00
Fractional coordinates of all 4 atoms:
Ca 0.0000 0.0000 0.0000
Ce 0.0000 0.5000 0.6690
Ce 0.5000 0.0000 0.5096
Ce 0.5000 0.5000 0.2637

Largest 10 diffraction maxima, by intensity, 10 to 90 degrees two-theta:
2theta	d_spacing	I/Imax
34.19	2.623	1000
32.23	2.778	725
13.86	6.390	522
31.84	2.811	499
30.14	2.965	432
44.41	2.040	296
42.28	2.138	221
58.24	1.584	213
65.06	1.434	187
73.92	1.282	174

---

Diffraction record for Ca3Ce. The XRD peak list is simulated, not measured: it uses a crystal structure in Alexandria, relaxed with PBE and Cu Kα (λ = 1.5418 Å).
Lines closer than 0.1° are merged.

abc: 3.7220 6.2702 6.7144
angles: 90.00 90.00 90.00
Fractional coordinates of all 4 atoms:
Ca 0.0000 0.0000 0.0000
Ca 0.0000 0.5000 0.3286
Ca 0.5000 0.5000 0.8166
Ce 0.5000 0.0000 0.4990

Largest 10 diffraction maxima, by intensity, 10 to 90 degrees two-theta:
2theta	d_spacing	I/Imax
30.95	2.889	1000
30.20	2.960	583
28.47	3.135	413
27.40	3.255	338
13.19	6.714	328
14.12	6.270	266
19.37	4.583	249
39.92	2.258	242
56.22	1.636	222
51.99	1.759	219

---

Diffraction record for CaCe. The XRD peak list is simulated, not measured: it uses a crystal structure in Alexandria, relaxed with PBE and Cu Kα (λ = 1.5418 Å).
Lines closer than 0.1° are merged.

abc: 3.7489 4.1371 9.0327
angles: 90.00 92.45 90.00
Fractional coordinates of all 4 atoms:
Ca 0.2303 0.2500 0.3469
Ca 0.7697 0.7500 0.6531
Ce 0.3253 0.2500 0.9329
Ce 0.6747 0.7500 0.0671

Largest 10 diffraction maxima, by intensity, 10 to 90 degrees two-theta:
2theta	d_spacing	I/Imax
32.24	2.777	1000
29.29	3.049	970
30.35	2.945	661
34.08	2.630	443
36.95	2.433	373
19.67	4.512	371
45.14	2.009	272
38.61	2.332	271
43.76	2.069	252
54.19	1.693	249

---

Diffraction record for CaCe2Cl11. The XRD peak list is simulated, not measured: it uses a crystal structure in Alexandria, relaxed with PBE and Cu Kα (λ = 1.5418 Å).
Lines closer than 0.1° are merged.

abc: 10.6903 10.6903 10.6903
angles: 121.14 106.72 101.25
Fractional coordinates of all 28 atoms:
Ca 0.2500 0.2500 0.0000
Ca 0.7500 0.7500 0.0000
Ce 0.1968 0.6553 0.8521
Ce 0.3032 0.1553 0.4584
Ce 0.6968 0.8447 0.5416
Ce 0.8032 0.3447 0.1479
Cl 0.0000 0.5000 0.5000
Cl 0.0282 0.9634 0.2660
Cl 0.0469 0.3660 0.1421
Cl 0.1929 0.3872 0.5801
Cl 0.1974 0.4634 0.9351
Cl 0.2238 0.9048 0.8579
Cl 0.2762 0.1340 0.6809
Cl 0.3026 0.2377 0.2660
Cl 0.3071 0.8872 0.1943
Cl 0.4531 0.5952 0.3191
Cl 0.4718 0.7377 0.9351
Cl 0.5000 0.0000 0.5000
Cl 0.5282 0.2623 0.0649
Cl 0.5469 0.4048 0.6809
Cl 0.6929 0.1128 0.8057
Cl 0.6974 0.7623 0.7340
Cl 0.7238 0.8660 0.3191
Cl 0.7762 0.0952 0.1421
Cl 0.8026 0.5366 0.0649
Cl 0.8071 0.6128 0.4199
Cl 0.9531 0.6340 0.8579
Cl 0.9718 0.0366 0.7340

Largest 10 diffraction maxima, by intensity, 10 to 90 degrees two-theta:
2theta	d_spacing	I/Imax
19.41	4.573	1000
13.05	6.782	983
19.10	4.647	693
17.04	5.202	649
35.49	2.529	479
17.53	5.059	476
35.76	2.511	438
38.69	2.327	379
13.88	6.380	365
34.90	2.571	342

---

Diffraction record for CsCa2CeI8. The XRD peak list is simulated, not measured: it uses a crystal structure in Alexandria, relaxed with PBE and Cu Kα (λ = 1.5418 Å).
Lines closer than 0.1° are merged.

abc: 7.4617 7.8416 9.9304
angles: 89.94 89.91 89.31
Fractional coordinates of all 12 atoms:
Cs 0.0000 0.0000 0.0000
Ca 0.5000 0.5002 0.2473
Ca 0.5000 0.4998 0.7527
Ce 0.0000 0.0000 0.5000
I 0.2583 0.8311 0.7107
I 0.2594 0.3343 0.5002
I 0.2592 0.8320 0.2890
I 0.2687 0.3884 0.0005
I 0.7313 0.6116 0.9995
I 0.7408 0.1680 0.7110
I 0.7406 0.6657 0.4998
I 0.7417 0.1689 0.2893

Largest 10 diffraction maxima, by intensity, 10 to 90 degrees two-theta:
2theta	d_spacing	I/Imax
24.41	3.647	1000
25.54	3.488	533
32.00	2.797	474
38.94	2.313	389
24.27	3.667	288
32.21	2.779	288
36.17	2.483	251
16.30	5.438	240
23.85	3.731	210
25.80	3.453	205

---

Diffraction record for Cs4CaCe3S8. The XRD peak list is simulated, not measured: it uses a crystal structure in Alexandria, relaxed with PBE and Cu Kα (λ = 1.5418 Å).
Lines closer than 0.1° are merged.

abc: 8.4344 8.4344 8.2056
angles: 90.00 90.00 120.00
Fractional coordinates of all 16 atoms:
Cs 0.0000 0.0000 0.0000
Cs 0.0000 0.5000 0.0000
Cs 0.5000 0.0000 0.0000
Cs 0.5000 0.5000 0.0000
Ca 0.0000 0.0000 0.5000
Ce 0.0000 0.5000 0.5000
Ce 0.5000 0.0000 0.5000
Ce 0.5000 0.5000 0.5000
S 0.1705 0.3410 0.3177
S 0.1705 0.8295 0.3177
S 0.3333 0.6667 0.6832
S 0.3410 0.1705 0.6823
S 0.6590 0.8295 0.3177
S 0.6667 0.3333 0.3168
S 0.8295 0.1705 0.6823
S 0.8295 0.6590 0.6823

Largest 10 diffraction maxima, by intensity, 10 to 90 degrees two-theta:
2theta	d_spacing	I/Imax
32.83	2.728	1000
24.37	3.652	644
42.89	2.109	303
21.66	4.103	254
51.07	1.789	247
55.04	1.668	235
72.21	1.308	194
48.54	1.875	184
84.62	1.145	116
63.24	1.470	113

---

Diffraction record for CaCeCu4. The XRD peak list is simulated, not measured: it uses a crystal structure in Alexandria, relaxed with PBE and Cu Kα (λ = 1.5418 Å).
Lines closer than 0.1° are merged.

abc: 8.0255 8.0255 8.0255
angles: 151.14 151.14 41.27
Fractional coordinates of all 6 atoms:
Ca 0.0000 0.0000 0.0000
Ce 0.7500 0.2500 0.5000
Cu 0.1686 0.6686 0.5000
Cu 0.3314 0.8314 0.5000
Cu 0.4189 0.4189 0.0000
Cu 0.5811 0.5811 0.0000

Largest 10 diffraction maxima, by intensity, 10 to 90 degrees two-theta:
2theta	d_spacing	I/Imax
33.87	2.647	1000
37.44	2.402	637
45.35	2.000	426
48.12	1.891	334
60.21	1.537	299
28.56	3.125	283
11.78	7.511	248
68.26	1.374	220
76.36	1.247	171
23.01	3.865	161

---

Diffraction record for CaCeCuHg. The XRD peak list is simulated, not measured: it uses a crystal structure in Alexandria, relaxed with PBE and Cu Kα (λ = 1.5418 Å).
Lines closer than 0.1° are merged.

abc: 5.2244 5.2244 5.2244
angles: 60.00 60.00 60.00
Fractional coordinates of all 4 atoms:
Ca 0.0000 0.0000 0.0000
Ce 0.5000 0.5000 0.5000
Cu 0.7500 0.7500 0.7500
Hg 0.2500 0.2500 0.2500

Largest 10 diffraction maxima, by intensity, 10 to 90 degrees two-theta:
2theta	d_spacing	I/Imax
34.33	2.612	1000
61.48	1.508	364
20.82	4.266	292
49.34	1.847	178
40.49	2.228	169
82.59	1.168	158
72.35	1.306	112
54.11	1.695	76
76.24	1.249	59
65.66	1.422	58

---

Diffraction record for CaCeCuO4. The XRD peak list is simulated, not measured: it uses a crystal structure in Alexandria, relaxed with PBE and Cu Kα (λ = 1.5418 Å).
Lines closer than 0.1° are merged.

abc: 5.8270 5.8270 6.8460
angles: 90.00 90.00 117.10
Fractional coordinates of all 14 atoms:
Ca 0.0000 0.0000 0.0000
Ca 0.0000 0.0000 0.5000
Ce 0.3359 0.6641 0.7500
Ce 0.6641 0.3359 0.2500
Cu 0.3544 0.6456 0.2500
Cu 0.6456 0.3544 0.7500
O 0.2362 0.7638 0.0257
O 0.2362 0.7638 0.4743
O 0.2624 0.2694 0.2500
O 0.2694 0.2624 0.7500
O 0.7306 0.7376 0.2500
O 0.7376 0.7306 0.7500
O 0.7638 0.2362 0.5257
O 0.7638 0.2362 0.9743

Largest 10 diffraction maxima, by intensity, 10 to 90 degrees two-theta:
2theta	d_spacing	I/Imax
30.73	2.910	1000
31.31	2.857	926
29.38	3.040	656
40.70	2.217	468
26.03	3.423	393
17.09	5.187	373
54.72	1.677	370
21.49	4.135	304
63.01	1.475	248
52.95	1.729	231

---

Diffraction record for Ca2CeDySe4. The XRD peak list is simulated, not measured: it uses a crystal structure in Alexandria, relaxed with PBE and Cu Kα (λ = 1.5418 Å).
Lines closer than 0.1° are merged.

abc: 7.1853 4.1447 7.3184
angles: 90.00 109.05 90.00
Fractional coordinates of all 8 atoms:
Ca 0.0000 0.0000 0.0000
Ca 0.5000 0.5000 0.0000
Ce 0.0000 0.5000 0.5000
Dy 0.5000 0.0000 0.5000
Se 0.2574 0.0000 0.7535
Se 0.2566 0.5000 0.2518
Se 0.7426 0.0000 0.2465
Se 0.7434 0.5000 0.7482

Largest 10 diffraction maxima, by intensity, 10 to 90 degrees two-theta:
2theta	d_spacing	I/Imax
30.27	2.953	1000
43.01	2.103	375
43.66	2.073	359
12.80	6.918	216
54.05	1.697	189
70.97	1.328	165
71.90	1.313	158
25.17	3.538	146
62.96	1.476	118
79.72	1.203	79

---

Diffraction record for Ca3Ce2ErP6. The XRD peak list is simulated, not measured: it uses a crystal structure in Alexandria, relaxed with PBE and Cu Kα (λ = 1.5418 Å).
Lines closer than 0.1° are merged.

abc: 7.1200 7.1200 7.0544
angles: 99.68 99.68 120.03
Fractional coordinates of all 12 atoms:
Ca 0.0000 0.0000 0.0000
Ca 0.3338 0.6662 0.0000
Ca 0.6662 0.3338 0.0000
Ce 0.1665 0.8335 0.5000
Ce 0.8335 0.1665 0.5000
Er 0.5000 0.5000 0.5000
P 0.0893 0.4225 0.2671
P 0.2446 0.2446 0.7333
P 0.4225 0.0893 0.2671
P 0.5775 0.9107 0.7329
P 0.7554 0.7554 0.2667
P 0.9107 0.5775 0.7329

Largest 10 diffraction maxima, by intensity, 10 to 90 degrees two-theta:
2theta	d_spacing	I/Imax
30.87	2.896	1000
13.33	6.643	460
26.59	3.352	374
44.07	2.055	363
44.39	2.041	349
25.42	3.504	268
54.77	1.676	187
72.82	1.299	158
73.29	1.292	149
46.24	1.963	132